Entry 1:
Starting from a DFT-relaxed cell (PBE, the Materials Project), the powder XRD pattern of LiNbO3 was computed for Cu Ka.

Main lines, by angle (10 to 90 degrees two-theta):
2θ 17.74, 5.001 Å, rel. 100.0; 2θ 18.21, 4.871 Å, rel. 30.6; 2θ 20.00, 4.439 Å, rel. 45.9; 2θ 23.84, 3.733 Å, rel. 38.6; 2θ 29.59, 3.019 Å, rel. 14.2; 2θ 32.92, 2.721 Å, rel. 33.1; 2θ 39.70, 2.270 Å, rel. 50.2; 2θ 44.85, 2.021 Å, rel. 19.4; 2θ 52.49, 1.743 Å, rel. 16.8; 2θ 61.37, 1.511 Å, rel. 14.7

Structure:
```
LiNbO3
1.0
2.566 -4.871 0.000
2.566 4.871 0.000
-1.218 0.000 5.001
Li Nb O
2 2 6
direct
0.153 0.847 0.000
0.847 0.153 0.000
0.339 0.661 0.500
0.661 0.339 0.500
0.058 0.463 0.737
0.299 0.299 0.290
0.463 0.058 0.737
0.537 0.942 0.263
0.701 0.701 0.710
0.942 0.537 0.263
```

=====

Entry 2:
Starting from a DFT-relaxed cell (PBE, the Materials Project), the powder XRD pattern of NaTaZnP2SO12 was computed for Cu Ka.

Main lines, by angle (10 to 90 degrees two-theta):
2θ 14.06, 6.298 Å, rel. 71.9; 2θ 19.56, 4.538 Å, rel. 85.6; 2θ 20.31, 4.373 Å, rel. 100.0; 2θ 23.48, 3.788 Å, rel. 40.6; 2θ 28.29, 3.154 Å, rel. 34.3; 2θ 31.25, 2.862 Å, rel. 54.7; 2θ 31.38, 2.851 Å, rel. 30.9; 2θ 35.09, 2.557 Å, rel. 19.1; 2θ 35.52, 2.527 Å, rel. 24.9; 2θ 48.02, 1.895 Å, rel. 18.9

Structure:
```
NaTaZnP2SO12
1.0
7.558 -4.382 0.000
7.558 4.382 0.000
-5.077 0.000 7.556
Na Ta Zn P S O
2 2 2 4 2 24
direct
0.238 0.762 0.500
0.762 0.238 0.000
0.401 0.901 0.966
0.901 0.401 0.466
0.088 0.620 0.084
0.620 0.088 0.584
0.005 0.222 0.786
0.222 0.005 0.286
0.717 0.802 0.784
0.802 0.717 0.284
0.298 0.506 0.783
0.506 0.298 0.283
0.038 0.187 0.302
0.048 0.378 0.950
0.129 0.482 0.620
0.187 0.038 0.802
0.188 0.839 0.259
0.255 0.980 0.116
0.271 0.537 0.940
0.309 0.682 0.794
0.353 0.467 0.256
0.378 0.048 0.450
0.467 0.353 0.756
0.482 0.129 0.120
0.537 0.271 0.440
0.538 0.812 0.802
0.623 0.754 0.115
0.672 0.982 0.763
0.682 0.309 0.294
0.754 0.623 0.615
0.776 0.880 0.447
0.812 0.538 0.302
0.839 0.188 0.759
0.880 0.776 0.947
0.980 0.255 0.616
0.982 0.672 0.263
```

=====

Entry 3:
Starting from a DFT-relaxed cell (PBE, the Materials Project), the powder XRD pattern of LiMg14BiO16 was computed for Cu Ka.

Main lines, by angle (10 to 90 degrees two-theta):
2θ 10.22, 8.657 Å, rel. 100.0; 2θ 14.47, 6.121 Å, rel. 60.8; 2θ 22.82, 3.896 Å, rel. 39.9; 2θ 22.97, 3.871 Å, rel. 39.9; 2θ 25.06, 3.553 Å, rel. 45.2; 2θ 30.88, 2.896 Å, rel. 44.5; 2θ 35.84, 2.506 Å, rel. 39.1; 2θ 41.39, 2.182 Å, rel. 47.9; 2θ 41.74, 2.164 Å, rel. 90.5; 2θ 60.23, 1.536 Å, rel. 54.5

Structure:
```
LiMg14BiO16
1.0
4.363 0.000 0.000
0.000 8.653 0.000
0.000 0.000 8.659
Li Mg Bi O
1 14 1 16
direct
0.000 0.000 0.000
0.000 0.254 0.237
0.000 0.254 0.763
0.000 0.500 0.000
0.000 0.500 0.500
0.000 0.746 0.237
0.000 0.746 0.763
0.500 0.000 0.228
0.500 0.000 0.772
0.500 0.246 0.000
0.500 0.264 0.500
0.500 0.500 0.246
0.500 0.500 0.754
0.500 0.736 0.500
0.500 0.754 0.000
0.000 0.000 0.500
0.000 0.000 0.234
0.000 0.000 0.766
0.000 0.262 0.000
0.000 0.268 0.500
0.000 0.500 0.250
0.000 0.500 0.750
0.000 0.732 0.500
0.000 0.738 0.000
0.500 0.000 0.000
0.500 0.000 0.500
0.500 0.249 0.253
0.500 0.249 0.747
0.500 0.500 0.000
0.500 0.500 0.500
0.500 0.751 0.253
0.500 0.751 0.747
```

=====

Entry 4:
Starting from a DFT-relaxed cell (PBE, the Materials Project), the powder XRD pattern of VFeSb was computed for Cu Ka.

Main lines, by angle (10 to 90 degrees two-theta):
2θ 28.08, 3.178 Å, rel. 35.2; 2θ 33.33, 2.688 Å, rel. 12.8; 2θ 39.62, 2.275 Å, rel. 100.0; 2θ 40.63, 2.221 Å, rel. 73.3; 2θ 52.72, 1.736 Å, rel. 20.4; 2θ 58.05, 1.589 Å, rel. 24.1; 2θ 71.90, 1.313 Å, rel. 15.7; 2θ 72.58, 1.303 Å, rel. 23.8; 2θ 83.55, 1.157 Å, rel. 20.8; 2θ 85.36, 1.137 Å, rel. 9.9

Structure:
```
VFeSb
1.0
4.549 0.000 0.000
-2.275 3.940 0.000
0.000 0.000 5.376
V Fe Sb
2 2 2
direct
0.333 0.667 0.250
0.667 0.333 0.750
0.000 0.000 0.000
0.000 0.000 0.500
0.333 0.667 0.750
0.667 0.333 0.250
```

=====

Entry 5:
Starting from a DFT-relaxed cell (PBE, the Materials Project), the powder XRD pattern of KScAs2H2O8 was computed for Cu Ka.

Main lines, by angle (10 to 90 degrees two-theta):
2θ 13.86, 6.391 Å, rel. 36.4; 2θ 14.67, 6.038 Å, rel. 45.9; 2θ 19.37, 4.583 Å, rel. 33.1; 2θ 21.08, 4.214 Å, rel. 35.4; 2θ 22.37, 3.975 Å, rel. 49.6; 2θ 26.88, 3.317 Å, rel. 92.3; 2θ 27.72, 3.219 Å, rel. 100.0; 2θ 29.78, 3.000 Å, rel. 46.3; 2θ 30.55, 2.926 Å, rel. 34.6; 2θ 46.60, 1.949 Å, rel. 27.2

Structure:
```
KScAs2H2O8
1.0
4.243 -5.372 0.000
4.243 5.372 0.000
-3.278 0.000 8.782
K Sc As H O
2 2 4 4 16
direct
0.000 0.500 0.000
0.500 0.000 0.500
0.138 0.862 0.750
0.862 0.138 0.250
0.127 0.324 0.643
0.324 0.127 0.143
0.676 0.873 0.857
0.873 0.676 0.357
0.309 0.350 0.466
0.350 0.309 0.966
0.650 0.691 0.034
0.691 0.650 0.534
0.083 0.810 0.511
0.085 0.545 0.737
0.180 0.188 0.772
0.188 0.180 0.272
0.190 0.917 0.989
0.354 0.388 0.580
0.388 0.354 0.080
0.455 0.915 0.763
0.545 0.085 0.237
0.612 0.646 0.920
0.646 0.612 0.420
0.810 0.083 0.011
0.812 0.820 0.728
0.820 0.812 0.228
0.915 0.455 0.263
0.917 0.190 0.489
```